KP4C4O8: calculated powder XRD pattern (Cu Kα, 1.54184 Å), based on a DFT-relaxed cell (PBE, the Materials Project).
Lines closer than 0.1° are merged.

Structure:
```
KP4C4O8
1.0
-4.4262 4.4262 12.3374
4.4262 -4.4262 12.3374
4.4262 4.4262 -12.3374
K P C O
2 8 8 16
Direct
0.3750 0.6250 0.7500
0.6250 0.3750 0.2500
0.0562 0.4679 0.5883
0.3796 0.4679 0.9117
0.4679 0.0562 0.0883
0.4679 0.3796 0.4117
0.5321 0.6204 0.5883
0.5321 0.9438 0.9117
0.6204 0.5321 0.0883
0.9438 0.5321 0.4117
0.2430 0.4026 0.6596
0.2430 0.5835 0.8404
0.4026 0.2430 0.1596
0.4165 0.7570 0.6596
0.5835 0.2430 0.3404
0.5974 0.7570 0.8404
0.7570 0.4165 0.1596
0.7570 0.5974 0.3404
0.0149 0.6952 0.1803
0.0149 0.8346 0.3197
0.0616 0.5881 0.4735
0.1654 0.9851 0.1803
0.3048 0.9851 0.3197
0.3854 0.4119 0.9735
0.4119 0.3854 0.4735
0.4119 0.9384 0.0265
0.5881 0.0616 0.9735
0.5881 0.6146 0.5265
0.6146 0.5881 0.0265
0.6952 0.0149 0.6803
0.8346 0.0149 0.8197
0.9384 0.4119 0.5265
0.9851 0.1654 0.6803
0.9851 0.3048 0.8197
```

Main lines, in order of rising 2θ (2θ from 5° to 70°):
| d/Å | two_theta | I_rel |
| --- | --- | --- |
| 8.332 | 10.62 | 100 |
| 6.169 | 14.36 | 21 |
| 6.026 | 14.70 | 11 |
| 4.426 | 20.06 | 37 |
| 4.310 | 20.61 | 19 |
| 4.166 | 21.33 | 28 |
| 3.087 | 28.92 | 10 |
| 2.930 | 30.51 | 8 |
| 2.633 | 34.06 | 12 |
| 2.353 | 38.26 | 12 |